The following is a theoretical powder XRD pattern of PrAl2Ga. It was derived from a crystal structure in OQMD, relaxed with GGA-PBE, using Cu Ka.
Neutral-atom scattering factors, no anomalous dispersion.

Structure:
```
PrAl2Ga
1.0
4.5733 0.0000 0.0000
0.0000 5.6668 3.2957
0.0000 -5.6668 3.2957
Pr Al Ga
2 4 2
Direct
0.2500 0.1650 0.8350
0.7500 0.8350 0.1650
0.2500 0.2207 0.3631
0.2500 0.6401 0.3622
0.7500 0.3622 0.6401
0.7500 0.3631 0.2207
0.2500 0.6388 0.7857
0.7500 0.7857 0.6388
```

Main lines, by angle (2θ = 10–90°):
2θ 15.55, rel. 22; 2θ 24.98, rel. 89; 2θ 27.21, rel. 35; 2θ 31.40, rel. 26; 2θ 37.18, rel. 100; 2θ 37.33, rel. 51; 2θ 39.41, rel. 31; 2θ 70.03, rel. 23



The following is a theoretical powder XRD pattern of RbZn4B3O9. It was derived from a crystal structure in OQMD, relaxed with GGA-PBE, using Cu Ka.
Neutral-atom scattering factors, no anomalous dispersion.

Structure:
```
RbZn4B3O9
1.0
6.7988 0.0000 0.0000
0.0000 5.0097 0.0000
-0.3737 0.0000 12.6240
Rb Zn B O
2 8 6 18
Direct
0.0000 0.2280 0.2500
0.0000 0.7720 0.7500
0.2046 0.3346 0.5623
0.2046 0.6654 0.0623
0.4866 0.1530 0.1239
0.4866 0.8470 0.6239
0.5134 0.1530 0.3761
0.5134 0.8470 0.8761
0.7954 0.3346 0.9377
0.7954 0.6654 0.4377
0.1896 0.1558 0.9499
0.1896 0.8442 0.4499
0.5000 0.3431 0.7500
0.5000 0.6569 0.2500
0.8104 0.1558 0.5501
0.8104 0.8442 0.0501
0.0513 0.2634 0.8840
0.0513 0.7366 0.3840
0.2551 0.1088 0.4360
0.2551 0.8912 0.9360
0.2717 0.2949 0.0360
0.2717 0.7051 0.5360
0.4042 0.2060 0.6694
0.4042 0.7940 0.1694
0.5000 0.3806 0.2500
0.5000 0.6194 0.7500
0.5958 0.2060 0.8306
0.5958 0.7940 0.3306
0.7283 0.2949 0.4640
0.7283 0.7051 0.9640
0.7449 0.1088 0.0640
0.7449 0.8912 0.5640
0.9487 0.2634 0.6160
0.9487 0.7366 0.1160
```

Main lines, by angle (2θ = 10–90°):
2θ 29.48, rel. 48; 2θ 30.24, rel. 30; 2θ 30.43, rel. 50; 2θ 30.94, rel. 100; 2θ 32.45, rel. 40; 2θ 35.85, rel. 29; 2θ 36.46, rel. 34; 2θ 56.84, rel. 28



The following is a theoretical powder XRD pattern of Sm2Sc2CI4Cl. It was derived from a crystal structure in OQMD, relaxed with GGA-PBE, using Cu Ka.
Neutral-atom scattering factors, no anomalous dispersion.

Structure:
```
Sm2Sc2CI4Cl
1.0
9.9293 -1.9329 0.0000
9.9293 1.9329 0.0000
-1.6274 0.0000 7.9170
Sm Sc C I Cl
2 2 1 4 1
Direct
0.9997 0.9997 0.2118
0.0003 0.0003 0.7882
0.3847 0.3847 0.9411
0.6153 0.6153 0.0589
0.5000 0.5000 0.0000
0.1611 0.1611 0.3321
0.1626 0.1626 0.8335
0.8374 0.8374 0.1665
0.8389 0.8389 0.6679
0.5000 0.5000 0.5000
```

Main lines, by angle (2θ = 10–90°):
2θ 22.47, rel. 44; 2θ 23.46, rel. 47; 2θ 27.51, rel. 52; 2θ 32.03, rel. 100; 2θ 32.66, rel. 27; 2θ 39.35, rel. 17; 2θ 39.96, rel. 18; 2θ 42.73, rel. 57



The following is a theoretical powder XRD pattern of La2TbMg3Ir3. It was derived from a crystal structure in OQMD, relaxed with GGA-PBE, using Cu Ka.
Neutral-atom scattering factors, no anomalous dispersion.

Structure:
```
La2TbMg3Ir3
1.0
4.1562 0.0000 0.0000
0.0000 6.4520 3.6965
0.0000 -6.4520 3.6965
La Tb Mg Ir
2 1 3 3
Direct
0.0000 0.2073 0.7927
0.0000 0.7927 0.2073
0.0000 0.6161 0.6161
0.5000 0.2138 0.4485
0.5000 0.4485 0.2138
0.5000 0.9653 0.9653
0.0000 0.2155 0.2155
0.5000 0.5461 0.8716
0.5000 0.8716 0.5461
```

Main lines, by angle (2θ = 10–90°):
2θ 23.93, rel. 59; 2θ 25.52, rel. 49; 2θ 32.31, rel. 69; 2θ 35.22, rel. 62; 2θ 35.35, rel. 100; 2θ 42.27, rel. 40; 2θ 43.08, rel. 37; 2θ 43.55, rel. 38